For Ba3PaO5, DFT lattice parameters and positions (PBE) gives the computed powder diffraction line list in this record (Cu Kα X-rays).
Kinematic intensities with the Lorentz-polarization factor, no thermal factor.

Structural model:
Unit cell a=8.475 b=8.475 c=8.475 alpha=126.56 beta=126.56 gamma=78.97
Atoms (fractional coordinates):
Ba1 0.187 0.687 0.875
Ba2 0.250 0.250 0.000
Ba3 0.313 0.187 0.500
Ba4 0.687 0.813 0.500
Ba5 0.750 0.750 0.000
Ba6 0.813 0.313 0.125
Pa1 0.250 0.750 0.500
Pa2 0.750 0.250 0.500
O1 0.000 0.000 0.000
O2 0.001 0.202 0.500
O3 0.202 0.702 0.201
O4 0.298 0.499 0.500
O5 0.499 0.999 0.201
O6 0.500 0.500 0.000
O7 0.501 0.001 0.799
O8 0.702 0.501 0.500
O9 0.798 0.298 0.799
O10 0.999 0.798 0.500

Peak list (6 most intense, 2θ from 10° to 90°, low angle first)
- 27.1°, I 100
- 27.3°, I 27
- 33.2°, I 25
- 33.4°, I 18
- 43.5°, I 28
- 48.1°, I 20